Diffraction record for Na3Sr3IrO8. The PXRD pattern is simulated, not measured: it uses a crystal structure in Alexandria, relaxed with PBE and Cu Kα.

Main lines, sorted by position (2θ from 10° to 90°):
| d [Å] | I_rel |
| --- | --- |
| 5.764 | 46.8 |
| 5.579 | 100.0 |
| 3.019 | 53.9 |
| 2.882 | 58.3 |
| 2.475 | 90.9 |
| 1.772 | 29.1 |

Cell and atoms:
```
Na3Sr3IrO8
1.0
3.5444 2.0463 5.5787
-3.5444 2.0463 5.5787
0.0000 -4.0927 5.5787
Na Sr Ir O
3 3 1 8
Direct
0.0000 0.5000 0.5000
0.5000 0.0000 0.5000
0.5000 0.5000 0.0000
0.0000 0.0000 0.5000
0.0000 0.5000 0.0000
0.5000 0.0000 0.0000
0.5000 0.5000 0.5000
0.2452 0.2452 0.2452
0.3024 0.3024 0.6957
0.3024 0.6957 0.3024
0.3043 0.6976 0.6976
0.6957 0.3024 0.3024
0.6976 0.3043 0.6976
0.6976 0.6976 0.3043
0.7548 0.7548 0.7548
```